# 1
Diffraction record for BiP2F. The X-ray diffraction stick pattern is calculated, not measured: it uses DFT lattice parameters and positions (PBE) and Cu Kα X-rays.
Peak positions follow from Bragg's law for the DFT cell and can differ from measured ones.

Most intense lines, 2θ from 10° to 90°, by angle:
- 2θ 16.0, rel. 81, (0 0 4)
- 2θ 24.9, rel. 67, (1 0 1)
- 2θ 27.4, rel. 74, (1 0 3)
- 2θ 31.9, rel. 51, (1 0 5)
- 2θ 32.3, rel. 51, (0 0 8)
- 2θ 36.0, rel. 100, (1 1 2)
- 2θ 37.7, rel. 24, (1 0 7)
- 2θ 43.0, rel. 61, (1 1 6)
- 2θ 53.2, rel. 46, (2 0 4)
- 2θ 54.7, rel. 30, (1 1 10)
- 2θ 57.0, rel. 21, (2 1 1)
- 2θ 73.2, rel. 18, (2 0 12)

Atomic structure:
a b c (Å): 3.6236 3.6236 22.1719
angles (deg): 90.00 90.00 90.00
Space group I-42d (No. 122)
Symmetry-distinct sites (fractional):
1 Bi 0.0000 0.0000 0.0000
2 P 0.1958 0.2500 0.6250
3 F 0.0000 0.0000 0.5000

=====

# 2
Diffraction record for BiPb2F6. The X-ray diffraction stick pattern is calculated, not measured: it uses DFT lattice parameters and positions (PBE) and Cu Kα X-rays.
Peak positions follow from Bragg's law for the DFT cell and can differ from measured ones.

Most intense lines, 2θ from 10° to 90°, by angle:
- 2θ 25.9, rel. 100, (1 1 0)
- 2θ 29.5, rel. 67, (1 0 1)
- 2θ 36.5, rel. 14, (1 1 1)
- 2θ 39.6, rel. 40, (2 0 1)
- 2θ 45.6, rel. 33, (3 0 0)
- 2θ 48.0, rel. 46, (2 1 1)
- 2θ 53.2, rel. 15, (2 2 0)
- 2θ 59.0, rel. 22, (1 1 2)
- 2θ 62.0, rel. 18, (3 1 1)
- 2θ 71.7, rel. 17, (3 0 2)
- 2θ 72.7, rel. 14, (4 1 0)
- 2θ 74.4, rel. 13, (3 2 1)

Atomic structure:
a b c (Å): 6.8852 6.8852 3.5132
angles (deg): 90.00 90.00 120.00
Space group P-62m (No. 189)
Symmetry-distinct sites (fractional):
1 Bi 0.0000 0.0000 0.0000
2 Pb 0.3333 0.6667 0.5000
3 F 0.0000 0.2451 0.5000
4 F 0.0000 0.6490 0.0000

=====

# 3
Diffraction record for BiPd2F11. The X-ray diffraction stick pattern is calculated, not measured: it uses DFT lattice parameters and positions (PBE) and Cu Kα X-rays.
Peak positions follow from Bragg's law for the DFT cell and can differ from measured ones.

Most intense lines, 2θ from 10° to 90°, by angle:
- 2θ 14.1, rel. 36, (1 1 0)
- 2θ 22.2, rel. 100, (1 1 2)
- 2θ 24.0, rel. 54, (2 1 1)
- 2θ 26.4, rel. 78, (2 0 2)
- 2θ 31.9, rel. 37, (3 1 0)
- 2θ 44.3, rel. 19, (4 0 2)
- 2θ 45.2, rel. 28, (2 2 4)
- 2θ 45.7, rel. 18, (4 2 0)
- 2θ 46.8, rel. 36, (3 3 2)
- 2θ 47.6, rel. 36, (3 1 4)
- 2θ 55.6, rel. 17, (5 1 2)
- 2θ 73.6, rel. 12, (6 0 4)

Atomic structure:
a b c (Å): 8.8832 8.8832 10.4211
angles (deg): 90.00 90.00 90.00
Space group I4/mcm (No. 140)
Symmetry-distinct sites (fractional):
1 Bi 0.0000 0.0000 0.2500
2 Pd 0.1655 0.3345 0.0000
3 F 0.0000 0.5000 0.0000
4 F 0.0599 0.2208 0.1345
5 F 0.1854 0.3146 0.5000

=====

# 4
Diffraction record for PmBi2F8. The X-ray diffraction stick pattern is calculated, not measured: it uses DFT lattice parameters and positions (PBE) and Cu Kα X-rays.
Peak positions follow from Bragg's law for the DFT cell and can differ from measured ones.

Most intense lines, 2θ from 10° to 90°, by angle:
- 2θ 13.9, rel. 42, (0 0 1)
- 2θ 16.2, rel. 31, (0 1 1)
- 2θ 21.2, rel. 100, (1 1 0)
- 2θ 22.8, rel. 90, (0 1 -1)
- 2θ 26.0, rel. 68, (-1 1 1)
- 2θ 27.0, rel. 45, (0 2 1)
- 2θ 29.7, rel. 58, (1 1 2)
- 2θ 36.7, rel. 35, (2 1 0)
- 2θ 39.6, rel. 26, (2 0 -1)
- 2θ 42.9, rel. 34, (0 2 3)
- 2θ 44.6, rel. 26, (1 0 3)
- 2θ 50.2, rel. 24, (2 1 3)

Atomic structure:
a b c (Å): 5.1593 6.7839 6.8033
angles (deg): 70.07 81.52 81.34
Space group P-1 (No. 2)
Symmetry-distinct sites (fractional):
1 Pm 0.0000 0.0000 0.0000
2 Bi 0.2377 0.6155 0.6153
3 F 0.2027 0.4042 0.4056
4 F 0.2079 0.8768 0.2994
5 F 0.2085 0.2993 0.8759
6 F 0.2887 0.8184 0.8210